Record 1
Simulated PXRD pattern
Compound: Tl2Cd
Radiation: Cu Kα (λ = 1.5418 Å)
Structure: a structure optimized by DFT (GGA-PBE)

Most intense lines, 10 to 90 degrees two-theta, by angle:
| d (Å) | two_theta | I_rel |
| --- | --- | --- |
| 2.992 | 29.9 | 79 |
| 2.976 | 30.0 | 54 |
| 2.937 | 30.4 | 100 |
| 2.771 | 32.3 | 45 |
| 2.657 | 33.7 | 53 |
| 2.573 | 34.9 | 26 |
| 2.387 | 37.7 | 86 |
| 1.695 | 54.1 | 24 |
| 1.648 | 55.8 | 24 |
| 1.376 | 68.1 | 27 |

Structural model:
Cell: 11.899 11.172 6.016 Å, 81.69 68.29 30.02°
Atoms (fractional coordinates):
Tl 0.048 0.048 0.202
Tl 0.186 0.564 0.186
Tl 0.202 0.202 0.048
Tl 0.436 0.814 0.436
Tl 0.564 0.186 0.564
Tl 0.798 0.798 0.952
Tl 0.814 0.436 0.814
Tl 0.952 0.952 0.798
Cd 0.259 0.259 0.491
Cd 0.491 0.491 0.259
Cd 0.509 0.509 0.741
Cd 0.741 0.741 0.509


Record 2
Simulated PXRD pattern
Compound: Al5Mo
Radiation: Cu Kα (λ = 1.5418 Å)
Structure: a structure optimized by DFT (GGA-PBE)

Most intense lines, 10 to 90 degrees two-theta, by angle:
| d (Å) | two_theta | I_rel |
| --- | --- | --- |
| 4.404 | 20.2 | 15 |
| 3.984 | 22.3 | 26 |
| 3.693 | 24.1 | 20 |
| 2.467 | 36.4 | 25 |
| 2.376 | 37.9 | 18 |
| 2.202 | 41.0 | 26 |
| 2.153 | 42.0 | 100 |
| 1.425 | 65.5 | 19 |
| 1.262 | 75.3 | 17 |
| 1.196 | 80.3 | 21 |

Structural model:
Cell: 4.935 4.935 44.038 Å, 90.00 90.00 120.00°
Atoms (fractional coordinates):
Al 0.000 0.000 0.048
Al 0.000 0.000 0.250
Al 0.000 0.000 0.452
Al 0.000 0.000 0.548
Al 0.000 0.000 0.750
Al 0.000 0.000 0.952
Al 0.000 0.344 0.000
Al 0.000 0.657 0.500
Al 0.007 0.673 0.700
Al 0.008 0.332 0.800
Al 0.009 0.334 0.600
Al 0.011 0.677 0.100
Al 0.323 0.334 0.100
Al 0.324 0.992 0.800
Al 0.325 0.991 0.600
Al 0.327 0.333 0.700
Al 0.332 0.008 0.200
Al 0.333 0.327 0.300
Al 0.333 0.667 0.152
Al 0.333 0.667 0.250
Al 0.333 0.667 0.350
Al 0.333 0.667 0.448
Al 0.333 0.667 0.650
Al 0.333 0.667 0.851
Al 0.333 0.667 0.948
Al 0.334 0.009 0.400
Al 0.334 0.323 0.900
Al 0.343 0.343 0.500
Al 0.344 0.000 0.000
Al 0.656 0.656 0.000
Al 0.657 0.000 0.500
Al 0.666 0.675 0.600
Al 0.666 0.989 0.100
Al 0.667 0.333 0.052
Al 0.667 0.333 0.149
Al 0.667 0.333 0.350
Al 0.667 0.333 0.552
Al 0.667 0.333 0.650
Al 0.667 0.333 0.750
Al 0.667 0.333 0.848
Al 0.667 0.993 0.700
Al 0.668 0.676 0.800
Al 0.673 0.007 0.300
Al 0.675 0.666 0.400
Al 0.676 0.668 0.200
Al 0.677 0.011 0.900
Al 0.989 0.666 0.900
Al 0.991 0.325 0.400
Al 0.992 0.324 0.200
Al 0.993 0.667 0.300
Mo 0.000 0.000 0.149
Mo 0.000 0.000 0.350
Mo 0.000 0.000 0.650
Mo 0.000 0.000 0.851
Mo 0.333 0.667 0.050
Mo 0.333 0.667 0.549
Mo 0.333 0.667 0.751
Mo 0.667 0.333 0.249
Mo 0.667 0.333 0.451
Mo 0.667 0.333 0.950